Calculated PXRD pattern of GeSb for a wavelength of 1.5418 Å, from the GGA-PBE geometry in the Materials Project.
Peak positions follow from Bragg's law for the DFT cell and can differ from measured ones.

Structural model:
```
data_GeSb
_space_group_name_H-M_alt 'F m -3 m'
_space_group_IT_number 225
_space_group_name_Hall '-F 4 2 3'
_cell_length_a 5.827
_cell_length_b 5.827
_cell_length_c 5.827
_cell_angle_alpha 90.00
_cell_angle_beta 90.00
_cell_angle_gamma 90.00
loop_
_atom_site_label
_atom_site_type_symbol
_atom_site_fract_x
_atom_site_fract_y
_atom_site_fract_z
Ge1 Ge 0.000 0.000 0.000
Sb1 Sb 0.000 0.000 0.500
```

Largest 10 diffraction maxima, low angle first, 15° ≤ 2θ ≤ 90°:
h k l, Position (°2θ), I_rel
1 1 1, 26.49, 10
2 0 0, 30.69, 100
2 2 0, 43.95, 74
3 1 1, 52.05, 5
2 2 2, 54.56, 26
4 0 0, 63.90, 12
3 3 1, 70.44, 2
4 2 0, 72.55, 32
4 2 2, 80.80, 24
5 1 1, 86.86, 2


Calculated PXRD pattern of BaOsN2 for a wavelength of 1.5418 Å, from the GGA-PBE geometry in the Materials Project.
Peak positions follow from Bragg's law for the DFT cell and can differ from measured ones.

Structural model:
```
data_BaOsN2
_space_group_name_H-M_alt 'C m c e'
_space_group_IT_number 64
_space_group_name_Hall '-C 2ac 2'
_cell_length_a 6.190
_cell_length_b 13.489
_cell_length_c 7.788
_cell_angle_alpha 90.00
_cell_angle_beta 90.00
_cell_angle_gamma 90.00
loop_
_atom_site_label
_atom_site_type_symbol
_atom_site_fract_x
_atom_site_fract_y
_atom_site_fract_z
Ba1 Ba 0.000 0.146 0.071
Os1 Os 0.000 0.093 0.623
N1 N 0.000 0.158 0.423
N2 N 0.250 0.069 0.750
```

Largest 10 diffraction maxima, low angle first, 15° ≤ 2θ ≤ 90°:
h k l, Position (°2θ), I_rel
0 2 1, 17.39, 23
0 4 0, 26.43, 59
1 1 2, 27.86, 93
2 0 0, 28.85, 100
1 3 2, 33.72, 91
1 1 3, 38.18, 38
2 4 0, 39.52, 38
1 7 1, 51.00, 30
3 3 2, 54.29, 24
2 0 4, 55.78, 21


Calculated PXRD pattern of InNi for a wavelength of 1.5418 Å, from the GGA-PBE geometry in the Materials Project.
Peak positions follow from Bragg's law for the DFT cell and can differ from measured ones.

Structural model:
```
data_InNi
_space_group_name_H-M_alt 'P 6/m m m'
_space_group_IT_number 191
_space_group_name_Hall '-P 6 2'
_cell_length_a 5.2721
_cell_length_b 5.2721
_cell_length_c 4.3729
_cell_angle_alpha 90.00
_cell_angle_beta 90.00
_cell_angle_gamma 120.00
loop_
_atom_site_label
_atom_site_type_symbol
_atom_site_fract_x
_atom_site_fract_y
_atom_site_fract_z
In1 In 0.0000 0.0000 0.0000
In2 In 0.3333 0.6667 0.5000
Ni1 Ni 0.0000 0.5000 0.0000
```

Largest 10 diffraction maxima, low angle first, 15° ≤ 2θ ≤ 90°:
h k l, Position (°2θ), I_rel
1 0 1, 28.26, 55
1 1 0, 34.01, 49
2 0 0, 39.47, 15
1 1 1, 39.93, 25
0 0 2, 41.29, 34
2 0 1, 44.78, 100
1 1 2, 54.53, 24
2 2 0, 71.59, 19
2 0 3, 77.73, 18
2 2 2, 86.15, 23


Calculated PXRD pattern of K2GaB5H8O14 for a wavelength of 1.5418 Å, from the GGA-PBE geometry in the Materials Project.
Peak positions follow from Bragg's law for the DFT cell and can differ from measured ones.

Structural model:
```
data_K2GaB5H8O14
_space_group_name_H-M_alt 'C 2 2 21'
_space_group_IT_number 20
_cell_length_a 9.695
_cell_length_b 10.221
_cell_length_c 14.055
_cell_angle_alpha 90.00
_cell_angle_beta 90.00
_cell_angle_gamma 90.00
loop_
_space_group_symop_operation_xyz
'x,y,z'
'-x,-y,z+1/2'
'x,-y,-z'
'-x,y,-z+1/2'
'x+1/2,y+1/2,z'
'-x+1/2,-y+1/2,z+1/2'
'x+1/2,-y+1/2,-z'
'-x+1/2,y+1/2,-z+1/2'
loop_
_atom_site_label
_atom_site_type_symbol
_atom_site_fract_x
_atom_site_fract_y
_atom_site_fract_z
K1 K 0.152 0.234 0.367
Ga1 Ga 0.136 0.000 0.000
B1 B 0.000 0.301 0.750
B2 B 0.014 0.222 0.580
B3 B 0.169 0.398 0.632
H1 H 0.060 0.003 0.213
H2 H 0.113 0.470 0.210
H3 H 0.158 0.457 0.046
H4 H 0.218 0.369 0.171
O1 O 0.000 0.062 0.250
O2 O 0.027 0.148 0.994
O3 O 0.045 0.219 0.830
O4 O 0.116 0.388 0.723
O5 O 0.120 0.388 0.171
O6 O 0.123 0.311 0.562
O7 O 0.219 0.500 0.000
O8 O 0.236 0.009 0.113
```

Largest 10 diffraction maxima, low angle first, 15° ≤ 2θ ≤ 90°:
h k l, Position (°2θ), I_rel
1 1 2, 17.84, 63
2 2 1, 26.12, 100
2 0 3, 26.46, 25
2 2 2, 28.38, 56
3 1 1, 29.68, 23
1 3 2, 30.58, 33
0 2 4, 30.88, 33
3 1 3, 34.85, 20
2 0 5, 36.96, 21
3 3 2, 40.57, 25


Calculated PXRD pattern of K2RbAsBr6 for a wavelength of 1.5418 Å, from the GGA-PBE geometry in the Materials Project.
Peak positions follow from Bragg's law for the DFT cell and can differ from measured ones.

Structural model:
```
data_K2RbAsBr6
_space_group_name_H-M_alt 'F m -3 m'
_space_group_IT_number 225
_space_group_name_Hall '-F 4 2 3'
_cell_length_a 11.777
_cell_length_b 11.777
_cell_length_c 11.777
_cell_angle_alpha 90.00
_cell_angle_beta 90.00
_cell_angle_gamma 90.00
loop_
_atom_site_label
_atom_site_type_symbol
_atom_site_fract_x
_atom_site_fract_y
_atom_site_fract_z
K1 K 0.250 0.250 0.250
Rb1 Rb 0.000 0.000 0.000
As1 As 0.000 0.000 0.500
Br1 Br 0.000 0.000 0.274
```

Largest 10 diffraction maxima, low angle first, 15° ≤ 2θ ≤ 90°:
h k l, Position (°2θ), I_rel
2 0 0, 15.04, 69
2 2 2, 26.21, 59
4 0 0, 30.36, 100
4 2 0, 34.04, 29
4 4 0, 43.47, 66
6 0 0, 46.25, 15
6 2 2, 51.47, 18
4 4 4, 53.94, 21
8 4 0, 71.67, 23
8 4 4, 79.78, 15


Calculated PXRD pattern of SiC for a wavelength of 1.5418 Å, from the GGA-PBE geometry in the Materials Project.
Peak positions follow from Bragg's law for the DFT cell and can differ from measured ones.

Structural model:
```
data_SiC
_space_group_name_H-M_alt 'P 3 m 1'
_space_group_IT_number 156
_cell_length_a 3.0950
_cell_length_b 3.0950
_cell_length_c 35.4203
_cell_angle_alpha 90.00
_cell_angle_beta 90.00
_cell_angle_gamma 120.00
loop_
_space_group_symop_operation_xyz
'x,y,z'
'-y,x-y,z'
'-x+y,-x,z'
'-y,-x,z'
'-x+y,y,z'
'x,x-y,z'
loop_
_atom_site_label
_atom_site_type_symbol
_atom_site_fract_x
_atom_site_fract_y
_atom_site_fract_z
Si1 Si 0.0000 0.0000 0.0000
Si2 Si 0.0000 0.0000 0.1429
Si3 Si 0.0000 0.0000 0.3572
Si4 Si 0.0000 0.0000 0.5714
Si5 Si 0.0000 0.0000 0.7144
Si6 Si 0.3333 0.6667 0.0715
Si7 Si 0.3333 0.6667 0.2857
Si8 Si 0.3333 0.6667 0.4287
Si9 Si 0.3333 0.6667 0.6429
Si10 Si 0.3333 0.6667 0.8572
Si11 Si 0.6667 0.3333 0.2143
Si12 Si 0.6667 0.3333 0.5000
Si13 Si 0.6667 0.3333 0.7857
Si14 Si 0.6667 0.3333 0.9287
C1 C 0.0000 0.0000 0.0536
C2 C 0.0000 0.0000 0.1965
C3 C 0.0000 0.0000 0.4109
C4 C 0.0000 0.0000 0.6250
C5 C 0.0000 0.0000 0.7679
C6 C 0.3333 0.6667 0.1252
C7 C 0.3333 0.6667 0.3393
C8 C 0.3333 0.6667 0.4822
C9 C 0.3333 0.6667 0.6966
C10 C 0.3333 0.6667 0.9109
C11 C 0.6667 0.3333 0.2679
C12 C 0.6667 0.3333 0.5537
C13 C 0.6667 0.3333 0.8393
C14 C 0.6667 0.3333 0.9822
```

Largest 10 diffraction maxima, low angle first, 15° ≤ 2θ ≤ 90°:
h k l, Position (°2θ), I_rel
1 0 3, 34.31, 48
1 0 4, 34.98, 41
0 0 14, 35.48, 88
1 0 5, 35.82, 100
1 0 7, 37.99, 47
1 0 9, 40.73, 28
1 1 0, 59.76, 80
1 0 19, 60.49, 33
1 0 21, 65.37, 22
1 1 14, 71.46, 61